No. 1
Diffraction record for Mn2GaCuH. The powder XRD pattern is simulated, not measured: it uses a cell relaxed with GGA-PBE and λ = 1.5418 Å (Cu Kα).

Structural model:
a = 3.770 Å, b = 3.770 Å, c = 3.747 Å
α = 90.00°, β = 90.00°, γ = 90.00°
Space group P4/mmm (No. 123)
Unique sites:
Mn: 0.000 0.500 0.000 [2 per cell]
Ga: 0.000 0.000 0.500 [1 per cell]
Cu: 0.500 0.500 0.500 [1 per cell]
H: 0.500 0.500 0.000 [1 per cell]

Largest 11 diffraction maxima, low angle first, 2θ = 10–90°:
| hkl | 2θ (°) | d [Å] | I (rel.) |
| --- | --- | --- | --- |
| 0 0 1 | 23.7 | 3.747 | 1.2 |
| 1 1 0 | 33.6 | 2.666 | 1.4 |
| 1 1 1 | 41.6 | 2.172 | 100.0 |
| 2 0 0 | 48.3 | 1.885 | 32.2 |
| 0 0 2 | 48.6 | 1.874 | 15.8 |
| 2 0 1 | 54.5 | 1.684 | 0.7 |
| 1 1 2 | 60.4 | 1.533 | 0.6 |
| 2 2 0 | 70.7 | 1.333 | 9.4 |
| 2 0 2 | 70.9 | 1.329 | 18.5 |
| 3 1 1 | 85.5 | 1.136 | 21.6 |
| 1 1 3 | 85.9 | 1.131 | 10.7 |


No. 2
Diffraction record for Na2GaCuH6. The powder XRD pattern is simulated, not measured: it uses a cell relaxed with GGA-PBE and λ = 1.5418 Å (Cu Kα).

Structural model:
a = 7.249 Å, b = 7.270 Å, c = 7.290 Å
α = 90.00°, β = 90.00°, γ = 90.00°
Space group Fmmm (No. 69)
Unique sites:
Na: 0.250 0.250 0.250 [8 per cell]
Ga: 0.000 0.000 0.000 [4 per cell]
Cu: 0.000 0.000 0.500 [4 per cell]
H: 0.000 0.000 0.254 [8 per cell]
H: 0.000 0.245 0.500 [8 per cell]
H: 0.244 0.000 0.500 [8 per cell]

Largest 12 diffraction maxima, low angle first, 2θ = 10–90°:
| hkl | 2θ (°) | d [Å] | I (rel.) |
| --- | --- | --- | --- |
| 0 2 0 | 24.5 | 3.640 | 33.1 |
| 2 0 0 | 24.6 | 3.625 | 16.4 |
| 2 0 2 | 34.9 | 2.572 | 100.0 |
| 2 2 0 | 35.0 | 2.567 | 49.7 |
| 2 2 2 | 43.1 | 2.099 | 11.6 |
| 0 0 4 | 50.0 | 1.822 | 9.4 |
| 0 4 0 | 50.2 | 1.817 | 9.3 |
| 4 0 0 | 50.3 | 1.812 | 9.2 |
| 2 4 2 | 62.6 | 1.485 | 33.8 |
| 4 2 2 | 62.7 | 1.482 | 16.7 |
| 2 0 6 | 84.0 | 1.152 | 6.8 |
| 2 6 0 | 84.2 | 1.149 | 6.8 |


No. 3
Diffraction record for Hf2Ga2Cu3. The powder XRD pattern is simulated, not measured: it uses a cell relaxed with GGA-PBE and λ = 1.5418 Å (Cu Kα).

Structural model:
a = 3.304 Å, b = 18.949 Å, c = 7.242 Å
α = 90.00°, β = 90.00°, γ = 90.00°
Space group Cmcm (No. 63)
Unique sites:
Hf: 0.000 0.056 0.250 [4 per cell]
Hf: 0.000 0.145 0.750 [4 per cell]
Ga: 0.000 0.326 0.561 [8 per cell]
Cu: 0.000 0.241 0.250 [4 per cell]
Cu: 0.000 0.447 0.079 [8 per cell]

Largest 12 diffraction maxima, low angle first, 2θ = 10–90°:
| hkl | 2θ (°) | d [Å] | I (rel.) |
| --- | --- | --- | --- |
| 0 0 2 | 24.6 | 3.621 | 16.7 |
| 0 6 1 | 30.9 | 2.895 | 21.6 |
| 1 1 2 | 37.1 | 2.421 | 63.0 |
| 1 5 1 | 38.2 | 2.355 | 100.0 |
| 0 4 3 | 42.0 | 2.151 | 36.0 |
| 0 6 3 | 47.4 | 1.918 | 15.3 |
| 0 10 0 | 48.0 | 1.895 | 13.6 |
| 2 0 0 | 55.6 | 1.652 | 15.3 |
| 1 9 2 | 57.8 | 1.594 | 15.2 |
| 1 1 4 | 58.3 | 1.582 | 12.2 |
| 2 4 3 | 72.1 | 1.310 | 14.9 |
| 1 5 5 | 76.0 | 1.252 | 25.0 |


No. 4
Diffraction record for Hf2Ga7Cu12. The powder XRD pattern is simulated, not measured: it uses a cell relaxed with GGA-PBE and λ = 1.5418 Å (Cu Kα).

Structural model:
a = 10.8881 Å, b = 10.8881 Å, c = 2.8971 Å
α = 90.00°, β = 90.00°, γ = 120.00°
Space group P-3 (No. 147)
Unique sites:
Hf: 0.3333 0.6667 0.2469 [2 per cell]
Ga: 0.0000 0.0000 0.5000 [1 per cell]
Ga: 0.1331 0.7149 0.7471 [6 per cell]
Cu: 0.0737 0.2433 0.2411 [6 per cell]
Cu: 0.0786 0.4604 0.7514 [6 per cell]

Largest 12 diffraction maxima, low angle first, 2θ = 10–90°:
| hkl | 2θ (°) | d [Å] | I (rel.) |
| --- | --- | --- | --- |
| 1 1 0 | 16.3 | 5.444 | 10.0 |
| 2 2 0 | 32.9 | 2.722 | 8.7 |
| 0 2 1 | 36.4 | 2.468 | 13.3 |
| 2 1 1 | 40.1 | 2.248 | 100.0 |
| 1 4 0 | 44.0 | 2.058 | 80.3 |
| 4 -3 1 | 46.8 | 1.941 | 9.2 |
| 3 2 1 | 52.8 | 1.733 | 8.6 |
| 6 -4 1 | 61.0 | 1.518 | 20.2 |
| 0 0 2 | 64.3 | 1.449 | 7.7 |
| 7 0 1 | 78.3 | 1.221 | 16.9 |
| 6 3 0 | 80.9 | 1.188 | 10.9 |
| 1 4 2 | 81.2 | 1.184 | 20.1 |


No. 5
Diffraction record for Hf4Ga5Cu. The powder XRD pattern is simulated, not measured: it uses a cell relaxed with GGA-PBE and λ = 1.5418 Å (Cu Kα).

Structural model:
a = 8.136 Å, b = 8.136 Å, c = 5.547 Å
α = 90.00°, β = 90.00°, γ = 90.00°
Space group I4 (No. 79)
Unique sites:
Hf: 0.058 0.682 0.000 [8 per cell]
Ga: 0.000 0.000 0.194 [2 per cell]
Ga: 0.096 0.769 0.504 [8 per cell]
Cu: 0.000 0.000 0.767 [2 per cell]

Largest 12 diffraction maxima, low angle first, 2θ = 10–90°:
| hkl | 2θ (°) | d [Å] | I (rel.) |
| --- | --- | --- | --- |
| 1 2 1 | 29.4 | 3.042 | 51.9 |
| 0 0 2 | 32.3 | 2.774 | 57.2 |
| 3 1 0 | 34.9 | 2.573 | 100.0 |
| 1 1 2 | 35.9 | 2.498 | 30.8 |
| 3 0 1 | 36.9 | 2.436 | 79.6 |
| 2 3 1 | 43.3 | 2.090 | 36.6 |
| 2 2 2 | 45.4 | 1.997 | 38.0 |
| 3 1 2 | 48.2 | 1.886 | 58.1 |
| 3 4 1 | 59.2 | 1.561 | 20.2 |
| 6 1 1 | 72.7 | 1.300 | 25.9 |
| 5 4 1 | 77.0 | 1.239 | 20.7 |
| 3 1 4 | 78.3 | 1.221 | 28.3 |


No. 6
Diffraction record for LiGaCuHg. The powder XRD pattern is simulated, not measured: it uses a cell relaxed with GGA-PBE and λ = 1.5418 Å (Cu Kα).

Structural model:
a = 6.345 Å, b = 6.345 Å, c = 6.345 Å
α = 90.00°, β = 90.00°, γ = 90.00°
Space group F-43m (No. 216)
Unique sites:
Li: 0.000 0.000 0.000 [4 per cell]
Ga: 0.250 0.250 0.750 [4 per cell]
Cu: 0.000 0.000 0.500 [4 per cell]
Hg: 0.250 0.250 0.250 [4 per cell]

Largest 11 diffraction maxima, low angle first, 2θ = 10–90°:
| hkl | 2θ (°) | d [Å] | I (rel.) |
| --- | --- | --- | --- |
| 1 1 1 | 24.3 | 3.664 | 40.3 |
| 2 0 0 | 28.1 | 3.173 | 41.8 |
| 2 2 0 | 40.2 | 2.243 | 100.0 |
| 3 1 1 | 47.5 | 1.913 | 21.0 |
| 2 2 2 | 49.8 | 1.832 | 12.1 |
| 4 0 0 | 58.2 | 1.586 | 16.7 |
| 3 3 1 | 64.0 | 1.456 | 8.8 |
| 4 2 0 | 65.8 | 1.419 | 16.1 |
| 4 2 2 | 73.1 | 1.295 | 33.7 |
| 5 1 1 | 78.3 | 1.221 | 6.8 |
| 4 4 0 | 86.8 | 1.122 | 11.0 |


No. 7
Diffraction record for Pm2Ga4Cu3Hg. The powder XRD pattern is simulated, not measured: it uses a cell relaxed with GGA-PBE and λ = 1.5418 Å (Cu Kα).

Structural model:
a = 4.269 Å, b = 4.269 Å, c = 10.373 Å
α = 90.00°, β = 90.00°, γ = 90.00°
Space group P-4m2 (No. 115)
Unique sites:
Pm: 0.000 0.500 0.241 [2 per cell]
Ga: 0.000 0.000 0.000 [1 per cell]
Ga: 0.000 0.500 0.651 [2 per cell]
Ga: 0.500 0.500 0.000 [1 per cell]
Cu: 0.000 0.500 0.879 [2 per cell]
Cu: 0.500 0.500 0.500 [1 per cell]
Hg: 0.000 0.000 0.500 [1 per cell]

Largest 12 diffraction maxima, low angle first, 2θ = 10–90°:
| hkl | 2θ (°) | d [Å] | I (rel.) |
| --- | --- | --- | --- |
| 1 0 1 | 22.5 | 3.948 | 11.7 |
| 1 0 3 | 33.3 | 2.687 | 40.6 |
| 1 1 2 | 34.4 | 2.609 | 100.0 |
| 2 0 0 | 42.3 | 2.135 | 49.6 |
| 1 1 4 | 46.1 | 1.967 | 11.4 |
| 1 0 5 | 48.8 | 1.866 | 18.5 |
| 2 1 3 | 54.9 | 1.671 | 19.3 |
| 2 0 4 | 55.8 | 1.648 | 9.2 |
| 2 2 0 | 61.4 | 1.509 | 16.1 |
| 1 1 6 | 61.8 | 1.500 | 11.5 |
| 2 1 5 | 66.6 | 1.405 | 14.3 |
| 3 1 2 | 72.3 | 1.306 | 22.6 |


No. 8
Diffraction record for Tb2Ga4Cu3Hg. The powder XRD pattern is simulated, not measured: it uses a cell relaxed with GGA-PBE and λ = 1.5418 Å (Cu Kα).

Structural model:
a = 4.169 Å, b = 4.169 Å, c = 10.560 Å
α = 90.00°, β = 90.00°, γ = 90.00°
Space group P-4m2 (No. 115)
Unique sites:
Tb: 0.000 0.500 0.240 [2 per cell]
Ga: 0.000 0.000 0.000 [1 per cell]
Ga: 0.000 0.500 0.652 [2 per cell]
Ga: 0.500 0.500 0.000 [1 per cell]
Cu: 0.000 0.500 0.874 [2 per cell]
Cu: 0.500 0.500 0.500 [1 per cell]
Hg: 0.000 0.000 0.500 [1 per cell]

Largest 12 diffraction maxima, low angle first, 2θ = 10–90°:
| hkl | 2θ (°) | d [Å] | I (rel.) |
| --- | --- | --- | --- |
| 1 0 1 | 22.9 | 3.878 | 12.0 |
| 1 0 3 | 33.3 | 2.690 | 40.1 |
| 0 0 4 | 34.0 | 2.640 | 9.7 |
| 1 1 2 | 34.9 | 2.574 | 100.0 |
| 2 0 0 | 43.4 | 2.085 | 46.0 |
| 1 1 4 | 46.2 | 1.967 | 9.7 |
| 1 0 5 | 48.3 | 1.884 | 20.6 |
| 2 1 3 | 55.8 | 1.648 | 18.2 |
| 1 1 6 | 61.3 | 1.511 | 10.8 |
| 2 2 0 | 63.1 | 1.474 | 14.8 |
| 2 1 5 | 66.9 | 1.398 | 15.2 |
| 3 1 2 | 74.1 | 1.279 | 23.7 |